Entry 1:
Ho4Zn3Ir: theoretical powder XRD pattern (Cu Kα (λ = 1.5418 Å)), based on a structure optimized by DFT (PBE).
Kinematic intensities with the Lorentz-polarization factor, no thermal factor.

Cell and atoms:
Cell: 3.5285 3.5285 14.0071 Å, 90.00 90.00 90.00°
Element x y z (fractional)
Ho  0.0000  0.0000  0.1143
Ho  0.0000  0.0000  0.3726
Ho  0.0000  0.0000  0.6274
Ho  0.0000  0.0000  0.8857
Zn  0.5000  0.5000  0.2482
Zn  0.5000  0.5000  0.5000
Zn  0.5000  0.5000  0.7518
Ir  0.5000  0.5000  0.0000

Top 8 peaks for 10 to 90 degrees two-theta, sorted by position:
- 36.0 deg, rel. 51.7
- 36.1 deg, rel. 100.0
- 51.8 deg, rel. 18.3
- 52.2 deg, rel. 8.7
- 64.8 deg, rel. 36.1
- 65.1 deg, rel. 16.6
- 76.7 deg, rel. 10.5
- 87.4 deg, rel. 16.4

=====

Entry 2:
HoZn8Ir4: theoretical powder XRD pattern (Cu Kα (λ = 1.5418 Å)), based on a structure optimized by DFT (PBE).
Kinematic intensities with the Lorentz-polarization factor, no thermal factor.

Cell and atoms:
Cell: 6.6978 6.6978 6.6978 Å, 100.14 100.14 130.38°
Element x y z (fractional)
Ho  0.0000  0.0000  0.0000
Zn  0.0000  0.3352  0.3352
Zn  0.0000  0.6648  0.6648
Zn  0.2749  0.5000  0.7749
Zn  0.3352  0.0000  0.3352
Zn  0.5000  0.2749  0.7749
Zn  0.5000  0.7251  0.2251
Zn  0.6648  0.0000  0.6648
Zn  0.7251  0.5000  0.2251
Ir  0.0000  0.0000  0.5000
Ir  0.0000  0.5000  0.0000
Ir  0.5000  0.0000  0.0000
Ir  0.5000  0.5000  0.5000

Top 8 peaks for 10 to 90 degrees two-theta, sorted by position:
- 20.7 deg, rel. 61.5
- 38.3 deg, rel. 100.0
- 41.1 deg, rel. 31.3
- 42.0 deg, rel. 59.4
- 43.9 deg, rel. 68.3
- 47.3 deg, rel. 31.7
- 58.1 deg, rel. 34.6
- 74.3 deg, rel. 26.8

=====

Entry 3:
Ho4ZnIr: theoretical powder XRD pattern (Cu Kα (λ = 1.5418 Å)), based on a structure optimized by DFT (PBE).
Kinematic intensities with the Lorentz-polarization factor, no thermal factor.

Cell and atoms:
Cell: 9.4505 9.4505 9.4505 Å, 60.00 60.00 60.00°
Element x y z (fractional)
Ho  0.1872  0.1872  0.8128
Ho  0.1872  0.8128  0.1872
Ho  0.1872  0.8128  0.8128
Ho  0.3964  0.3964  0.3964
Ho  0.3964  0.3964  0.8108
Ho  0.3964  0.8108  0.3964
Ho  0.5582  0.5582  0.9418
Ho  0.5582  0.9418  0.5582
Ho  0.5582  0.9418  0.9418
Ho  0.8108  0.3964  0.3964
Ho  0.8128  0.1872  0.1872
Ho  0.8128  0.1872  0.8128
Ho  0.8128  0.8128  0.1872
Ho  0.9418  0.5582  0.5582
Ho  0.9418  0.5582  0.9418
Ho  0.9418  0.9418  0.5582
Zn  0.1714  0.1714  0.1714
Zn  0.1714  0.1714  0.4858
Zn  0.1714  0.4858  0.1714
Zn  0.4858  0.1714  0.1714
Ir  0.1785  0.6072  0.6072
Ir  0.6072  0.1785  0.6072
Ir  0.6072  0.6072  0.1785
Ir  0.6072  0.6072  0.6072

Top 8 peaks for 10 to 90 degrees two-theta, sorted by position:
- 11.5 deg, rel. 16.3
- 29.1 deg, rel. 22.6
- 32.8 deg, rel. 38.8
- 34.9 deg, rel. 100.0
- 38.1 deg, rel. 41.9
- 58.6 deg, rel. 38.0
- 59.9 deg, rel. 14.9
- 73.3 deg, rel. 15.5